Diffraction record for Ta4W2C3S3. The powder diffraction line list is theoretical, not measured: it uses a crystal structure in OQMD, relaxed with GGA-PBE and Cu Kα X-rays.
Kinematic intensities with the Lorentz-polarization factor, no thermal factor.

Structural model:
```
data_Ta4W2C3S3
_cell_length_a 9.7819
_cell_length_b 5.6607
_cell_length_c 12.2021
_cell_angle_alpha 90.00
_cell_angle_beta 105.95
_cell_angle_gamma 90.00
_symmetry_space_group_name_H-M 'C 1 2/c 1'
_symmetry_Int_Tables_number 15
_symmetry_space_group_name_Hall '-C 2yc'
loop_
_atom_site_label
_atom_site_type_symbol
_atom_site_fract_x
_atom_site_fract_y
_atom_site_fract_z
Ta1 Ta 0.1166 0.0942 0.0965
Ta2 Ta 0.2217 0.0782 0.4039
W1 W 0.0468 0.4239 0.9107
C1 C 0.0858 0.2415 0.5006
C2 C 0.2500 0.2500 0.0000
S1 S 0.0000 0.0947 0.7500
S2 S 0.1613 0.4211 0.2505
```

The 10 most intense peaks (2θ = 5–70°), in order of rising 2θ:
2θ/deg, d (Å), I/Imax, (hkl)
15.10, 5.866, 30, 0 0 2
30.48, 2.933, 20, 0 0 4
31.65, 2.827, 42, 0 2 0
32.54, 2.751, 30, 0 2 1
32.65, 2.743, 17, 3 1 0
39.25, 2.295, 100, 3 1 -4
39.47, 2.283, 49, 3 1 2
46.44, 1.955, 18, 0 0 6
56.33, 1.633, 25, 3 3 -1
56.44, 1.630, 12, 6 0 -2

Diffraction record for TbCS5. The powder diffraction line list is theoretical, not measured: it uses a crystal structure in OQMD, relaxed with GGA-PBE and Cu Kα X-rays.
Kinematic intensities with the Lorentz-polarization factor, no thermal factor.

Structural model:
```
data_TbCS5
_cell_length_a 4.9237
_cell_length_b 5.3978
_cell_length_c 7.4330
_cell_angle_alpha 74.43
_cell_angle_beta 76.65
_cell_angle_gamma 76.86
_symmetry_space_group_name_H-M 'P 1'
_symmetry_Int_Tables_number 1
_symmetry_space_group_name_Hall 'P 1'
loop_
_atom_site_label
_atom_site_type_symbol
_atom_site_fract_x
_atom_site_fract_y
_atom_site_fract_z
Tb1 Tb 0.0000 0.0000 0.0000
C1 C 0.0948 0.6260 0.4200
S1 S 0.2706 0.3475 0.4577
S2 S 0.4629 0.6359 0.8910
S3 S 0.4936 0.1616 0.8844
S4 S 0.8442 0.5435 0.9891
S5 S 0.9115 0.9114 0.4038
```

The 10 most intense peaks (2θ = 5–70°), in order of rising 2θ:
2θ/deg, d (Å), I/Imax, (hkl)
12.57, 7.042, 100, 0 0 1
17.33, 5.118, 23, 0 1 0
18.82, 4.715, 28, 1 0 0
18.97, 4.678, 23, 0 1 1
22.69, 3.918, 32, 1 1 1
25.30, 3.521, 54, 0 0 2
27.90, 3.198, 21, 1 -1 0
34.45, 2.603, 29, 0 2 1
38.14, 2.359, 19, 2 0 0
46.12, 1.968, 18, 0 2 3

Diffraction record for TbZrCS. The powder diffraction line list is theoretical, not measured: it uses a crystal structure in OQMD, relaxed with GGA-PBE and Cu Kα X-rays.
Kinematic intensities with the Lorentz-polarization factor, no thermal factor.

Structural model:
```
data_TbZrCS
_cell_length_a 3.5512
_cell_length_b 3.5512
_cell_length_c 12.6846
_cell_angle_alpha 90.00
_cell_angle_beta 90.00
_cell_angle_gamma 120.00
_symmetry_space_group_name_H-M 'P -6 m 2'
_symmetry_Int_Tables_number 187
_symmetry_space_group_name_Hall 'P -6 2'
loop_
_atom_site_label
_atom_site_type_symbol
_atom_site_fract_x
_atom_site_fract_y
_atom_site_fract_z
Tb1 Tb 0.0000 0.0000 0.1510
Zr1 Zr 0.3333 0.6667 0.3576
C1 C 0.6667 0.3333 0.2676
S1 S 0.0000 0.0000 0.5000
S2 S 0.3333 0.6667 0.0000
```

The 10 most intense peaks (2θ = 5–70°), in order of rising 2θ:
2θ/deg, d (Å), I/Imax, (hkl)
28.14, 3.171, 16, 0 0 4
29.03, 3.075, 33, 1 0 0
29.89, 2.989, 32, 1 0 1
36.11, 2.487, 100, 1 0 3
40.88, 2.208, 14, 1 0 4
51.46, 1.776, 28, 1 1 0
59.18, 1.561, 14, 1 0 7
59.68, 1.549, 12, 1 1 4
64.48, 1.445, 18, 2 0 3
69.08, 1.360, 12, 1 1 6

Diffraction record for TeW2CS. The powder diffraction line list is theoretical, not measured: it uses a crystal structure in OQMD, relaxed with GGA-PBE and Cu Kα X-rays.
Kinematic intensities with the Lorentz-polarization factor, no thermal factor.

Structural model:
```
data_TeW2CS
_cell_length_a 3.3383
_cell_length_b 3.3383
_cell_length_c 9.5301
_cell_angle_alpha 90.00
_cell_angle_beta 90.00
_cell_angle_gamma 120.00
_symmetry_space_group_name_H-M 'P 3 m 1'
_symmetry_Int_Tables_number 156
_symmetry_space_group_name_Hall 'P 3 -2"'
loop_
_atom_site_label
_atom_site_type_symbol
_atom_site_fract_x
_atom_site_fract_y
_atom_site_fract_z
Te1 Te 0.0000 0.0000 0.0000
W1 W 0.0000 0.0000 0.5592
W2 W 0.3333 0.6667 0.7740
C1 C 0.6667 0.3333 0.6786
S1 S 0.3333 0.6667 0.3958
```

The 10 most intense peaks (2θ = 5–70°), in order of rising 2θ:
2θ/deg, d (Å), I/Imax, (hkl)
9.28, 9.530, 100, 0 0 1
30.93, 2.891, 23, 1 0 0
32.36, 2.767, 11, 0 1 1
36.35, 2.472, 73, 1 0 2
37.76, 2.383, 9, 0 0 4
42.27, 2.138, 30, 1 0 3
49.58, 1.839, 8, 1 0 4
55.01, 1.669, 18, 1 1 0
67.74, 1.383, 12, 0 2 2
68.66, 1.367, 9, 1 1 4